Diffraction record for Ac4Sn3Ge5. The powder diffractogram is calculated, not measured: it uses DFT lattice parameters and positions (GGA-PBE) and λ = 1.5418 Å (Cu Kα).

Main lines, most intense first (2θ from 10° to 90°):
2theta  I_rel
29.13  100
25.07  96
28.67  77
36.42  72
34.23  60
36.01  56
21.63  40
34.00  39
56.01  33
52.16  32

Cell and atoms:
a = 8.2222 Å, b = 8.2222 Å, c = 12.3676 Å
α = 124.38°, β = 124.38°, γ = 34.91°
Sites, in units of the cell vectors:
Ac1 0.0993 0.0993 0.4301
Ac2 0.2438 0.2438 0.8333
Ac3 0.7562 0.7562 0.1667
Ac4 0.9007 0.9007 0.5699
Sn1 0.0000 0.0000 0.0000
Sn2 0.4274 0.4274 0.1685
Sn3 0.5726 0.5726 0.8315
Ge1 0.2460 0.2460 0.3393
Ge2 0.4203 0.4203 0.3813
Ge3 0.5000 0.5000 0.0000
Ge4 0.5797 0.5797 0.6187
Ge5 0.7540 0.7540 0.6607